No. 1
This entry pairs a crystal structure of NdDy2Pt with its computed X-ray diffraction stick pattern. Radiation: Cu Kα (λ = 1.5418 Å). Structure: DFT lattice parameters and positions (GGA-PBE).
Intensities are scaled so that the largest is 100.

Structural model:
Unit cell a=3.566 b=3.566 c=8.697 alpha=90.00 beta=90.00 gamma=90.00
Space group P4/mmm (No. 123)
One atom of each set of equivalent atoms:
Nd  0.000  0.000  0.000 (multiplicity 1)
Dy  0.500  0.500  0.311 (multiplicity 2)
Pt  0.000  0.000  0.500 (multiplicity 1)

Largest 12 diffraction maxima, in order of falling intensity, 2θ = 10–80°:
32.47 deg, d = 2.757 Å, rel. 100, (1 0 2); 35.61 deg, d = 2.521 Å, rel. 53, (1 1 0); 61.99 deg, d = 1.497 Å, rel. 32, (2 1 2); 10.17 deg, d = 8.697 Å, rel. 32, (0 0 1); 40.09 deg, d = 2.249 Å, rel. 21, (1 0 3); 51.24 deg, d = 1.783 Å, rel. 19, (2 0 0); 49.07 deg, d = 1.856 Å, rel. 11, (1 0 4); 66.98 deg, d = 1.397 Å, rel. 9, (2 1 3); 75.68 deg, d = 1.257 Å, rel. 8, (1 1 6); 55.83 deg, d = 1.647 Å, rel. 8, (1 1 4); 47.81 deg, d = 1.902 Å, rel. 6, (1 1 3); 73.67 deg, d = 1.286 Å, rel. 6, (2 1 4)


No. 2
This entry pairs a crystal structure of Pm3Pu3MgSe8 with its computed X-ray diffraction stick pattern. Radiation: Cu Kα (λ = 1.5418 Å). Structure: DFT lattice parameters and positions (GGA-PBE).
Intensities are scaled so that the largest is 100.

Structural model:
Unit cell a=14.382 b=8.321 c=8.299 alpha=90.00 beta=125.10 gamma=90.00
Space group C2/m (No. 12)
One atom of each set of equivalent atoms:
Pm  0.000  0.000  0.000 (multiplicity 2)
Pm  0.250  0.250  0.500 (multiplicity 4)
Pu  0.000  0.500  0.500 (multiplicity 2)
Pu  0.250  0.250  0.000 (multiplicity 4)
Mg  0.000  0.000  0.500 (multiplicity 2)
Se  0.000  0.241  0.260 (multiplicity 8)
Se  0.241  0.000  0.744 (multiplicity 4)
Se  0.249  0.500  0.752 (multiplicity 4)

Largest 12 diffraction maxima, in order of falling intensity, 2θ = 10–80°:
30.41 deg, d = 2.939 Å, rel. 100, (4 0 0); 43.53 deg, d = 2.079 Å, rel. 62, (2 2 2); 15.07 deg, d = 5.878 Å, rel. 20, (2 0 0); 54.00 deg, d = 1.698 Å, rel. 20, (4 4 0); 21.38 deg, d = 4.157 Å, rel. 18, (1 1 1); 71.75 deg, d = 1.316 Å, rel. 17, (6 2 2); 26.26 deg, d = 3.394 Å, rel. 16, (4 0 -2); 79.87 deg, d = 1.201 Å, rel. 15, (4 0 4); 43.63 deg, d = 2.075 Å, rel. 12, (4 0 -4); 63.28 deg, d = 1.470 Å, rel. 12, (8 0 0); 34.10 deg, d = 2.629 Å, rel. 12, (0 2 2); 71.86 deg, d = 1.314 Å, rel. 11, (10 2 -2)


No. 3
This entry pairs a crystal structure of TeSeS3 with its computed X-ray diffraction stick pattern. Radiation: Cu Kα (λ = 1.5418 Å). Structure: DFT lattice parameters and positions (GGA-PBE).
Intensities are scaled so that the largest is 100.

Structural model:
Unit cell a=5.408 b=8.619 c=8.526 alpha=90.00 beta=93.66 gamma=90.00
Space group Pc (No. 7)
One atom of each set of equivalent atoms:
Te  0.000  0.075  0.000 (multiplicity 2)
Se  0.784  0.171  0.394 (multiplicity 2)
S  0.524  0.262  0.567 (multiplicity 2)
S  0.686  0.274  0.951 (multiplicity 2)
S  0.722  0.385  0.740 (multiplicity 2)

Largest 12 diffraction maxima, in order of falling intensity, 2θ = 10–80°:
10.26 deg, d = 8.619 Å, rel. 100, (0 1 0); 16.42 deg, d = 5.397 Å, rel. 86, (1 0 0); 19.40 deg, d = 4.574 Å, rel. 63, (1 1 0); 23.32 deg, d = 3.815 Å, rel. 52, (0 1 2); 20.88 deg, d = 4.254 Å, rel. 49, (0 0 2); 28.90 deg, d = 3.090 Å, rel. 43, (1 2 1); 27.86 deg, d = 3.203 Å, rel. 35, (1 1 -2); 25.82 deg, d = 3.450 Å, rel. 33, (1 0 -2); 26.47 deg, d = 3.368 Å, rel. 31, (1 2 0); 34.62 deg, d = 2.591 Å, rel. 26, (1 2 2); 22.56 deg, d = 3.941 Å, rel. 23, (1 1 1); 23.13 deg, d = 3.845 Å, rel. 22, (0 2 1)


No. 4
This entry pairs a crystal structure of CaTlPdSeF with its computed X-ray diffraction stick pattern. Radiation: Cu Kα (λ = 1.5418 Å). Structure: DFT lattice parameters and positions (GGA-PBE).
Intensities are scaled so that the largest is 100.

Structural model:
Unit cell a=3.654 b=4.157 c=16.434 alpha=90.00 beta=90.00 gamma=90.00
Space group Imm2 (No. 44)
One atom of each set of equivalent atoms:
Ca  0.000  0.000  0.000 (multiplicity 2)
Tl  0.000  0.500  0.760 (multiplicity 2)
Pd  0.000  0.500  0.330 (multiplicity 2)
Se  0.000  0.000  0.422 (multiplicity 2)
F  0.000  0.500  0.576 (multiplicity 2)

Largest 12 diffraction maxima, in order of falling intensity, 2θ = 10–80°:
10.77 deg, d = 8.217 Å, rel. 100, (0 0 2); 34.45 deg, d = 2.603 Å, rel. 57, (1 1 2); 34.80 deg, d = 2.578 Å, rel. 31, (0 1 5); 29.38 deg, d = 3.040 Å, rel. 28, (1 0 3); 39.49 deg, d = 2.282 Å, rel. 26, (1 1 4); 22.06 deg, d = 4.030 Å, rel. 19, (0 1 1); 44.31 deg, d = 2.044 Å, rel. 18, (0 1 7); 32.64 deg, d = 2.743 Å, rel. 16, (1 1 0); 36.78 deg, d = 2.444 Å, rel. 15, (1 0 5); 43.55 deg, d = 2.078 Å, rel. 13, (0 2 0); 21.63 deg, d = 4.109 Å, rel. 13, (0 0 4); 62.28 deg, d = 1.491 Å, rel. 11, (2 1 5)


Which formula does entry 4 have?
CaTlPdSeF